# La4Ti9Si4O30
Simulated powder XRD pattern, λ = 1.5418 Å (Cu Kα). Input: the GGA-PBE geometry in Alexandria.

Main lines, in order of rising 2θ (10° ≤ 2θ ≤ 90°):
2θ 12.42, intensity 57; 2θ 18.01, intensity 39; 2θ 26.97, intensity 42; 2θ 27.26, intensity 38; 2θ 27.72, intensity 40; 2θ 28.68, intensity 100; 2θ 30.06, intensity 93; 2θ 30.99, intensity 45; 2θ 31.39, intensity 70; 2θ 32.37, intensity 55

Structural model:
Unit cell a=7.485 b=7.485 c=14.315 alpha=95.06 beta=95.06 gamma=45.35
Positions (direct):
La: 0.017 0.017 0.308
La: 0.298 0.298 0.313
La: 0.702 0.702 0.687
La: 0.983 0.983 0.692
Ti: 0.098 0.629 0.891
Ti: 0.133 0.133 0.881
Ti: 0.371 0.902 0.109
Ti: 0.406 0.406 0.118
Ti: 0.500 0.500 0.500
Ti: 0.594 0.594 0.882
Ti: 0.629 0.098 0.891
Ti: 0.867 0.867 0.119
Ti: 0.902 0.371 0.109
Si: 0.146 0.146 0.535
Si: 0.346 0.346 0.677
Si: 0.654 0.654 0.323
Si: 0.854 0.854 0.465
O: 0.039 0.039 0.135
O: 0.108 0.586 0.739
O: 0.127 0.630 0.025
O: 0.145 0.646 0.216
O: 0.146 0.679 0.432
O: 0.166 0.166 0.427
O: 0.238 0.238 0.134
O: 0.244 0.244 0.610
O: 0.266 0.266 0.883
O: 0.321 0.854 0.568
O: 0.354 0.855 0.784
O: 0.370 0.873 0.975
O: 0.414 0.892 0.261
O: 0.439 0.439 0.616
O: 0.461 0.461 0.881
O: 0.539 0.539 0.119
O: 0.561 0.561 0.384
O: 0.586 0.108 0.739
O: 0.630 0.127 0.025
O: 0.646 0.145 0.216
O: 0.679 0.146 0.432
O: 0.734 0.734 0.117
O: 0.756 0.756 0.390
O: 0.762 0.762 0.866
O: 0.834 0.834 0.573
O: 0.854 0.321 0.568
O: 0.855 0.354 0.784
O: 0.873 0.370 0.975
O: 0.892 0.414 0.261
O: 0.961 0.961 0.865

=====

# SrAg2P
Simulated powder XRD pattern, λ = 1.5418 Å (Cu Kα). Input: the GGA-PBE geometry in Alexandria.

Main lines, in order of rising 2θ (10° ≤ 2θ ≤ 90°):
2θ 16.14, intensity 38; 2θ 31.40, intensity 100; 2θ 32.58, intensity 57; 2θ 39.23, intensity 83; 2θ 43.38, intensity 45; 2θ 55.30, intensity 36; 2θ 63.02, intensity 14; 2θ 72.11, intensity 17; 2θ 72.77, intensity 13; 2θ 76.80, intensity 18

Structural model:
Unit cell a=4.169 b=4.174 c=10.981 alpha=90.00 beta=90.00 gamma=90.00
Positions (direct):
Sr: 0.000 0.000 0.000
Sr: 0.000 0.500 0.500
Ag: 0.000 0.000 0.721
Ag: 0.000 0.500 0.221
Ag: 0.500 0.000 0.262
Ag: 0.500 0.500 0.762
P: 0.500 0.000 0.590
P: 0.500 0.500 0.090

=====

# Dy7Y3Th
Simulated powder XRD pattern, λ = 1.5418 Å (Cu Kα). Input: the GGA-PBE geometry in Alexandria.

Main lines, in order of rising 2θ (10° ≤ 2θ ≤ 90°):
2θ 10.22, intensity 21; 2θ 31.06, intensity 100; 2θ 36.01, intensity 52; 2θ 51.79, intensity 18; 2θ 51.90, intensity 17; 2θ 61.66, intensity 31; 2θ 61.74, intensity 11; 2θ 64.79, intensity 9; 2θ 84.81, intensity 9; 2θ 87.54, intensity 9

Structural model:
Unit cell a=7.047 b=7.047 c=8.656 alpha=90.00 beta=90.00 gamma=120.00
Positions (direct):
Dy: 0.000 0.000 0.000
Dy: 0.165 0.331 0.669
Dy: 0.165 0.835 0.669
Dy: 0.503 0.006 0.995
Dy: 0.503 0.497 0.995
Dy: 0.669 0.835 0.669
Dy: 0.994 0.497 0.995
Y: 0.336 0.168 0.335
Y: 0.832 0.168 0.335
Y: 0.832 0.664 0.335
Th: 0.667 0.333 0.669

=====

# Pr2MgC2N6
Simulated powder XRD pattern, λ = 1.5418 Å (Cu Kα). Input: the GGA-PBE geometry in Alexandria.

Main lines, in order of rising 2θ (10° ≤ 2θ ≤ 90°):
2θ 18.93, intensity 45; 2θ 25.39, intensity 100; 2θ 33.10, intensity 65; 2θ 33.91, intensity 23; 2θ 39.12, intensity 37; 2θ 42.17, intensity 58; 2θ 48.11, intensity 24; 2θ 52.15, intensity 18; 2θ 54.63, intensity 34; 2θ 63.17, intensity 14

Structural model:
Unit cell a=5.413 b=5.413 c=5.288 alpha=90.00 beta=90.00 gamma=120.00
Positions (direct):
Pr: 0.333 0.667 0.290
Pr: 0.667 0.333 0.710
Mg: 0.000 0.000 0.000
C: 0.333 0.667 0.778
C: 0.667 0.333 0.222
N: 0.190 0.380 0.764
N: 0.190 0.810 0.764
N: 0.380 0.190 0.236
N: 0.620 0.810 0.764
N: 0.810 0.190 0.236
N: 0.810 0.620 0.236

=====

# KBa2CdCo
Simulated powder XRD pattern, λ = 1.5418 Å (Cu Kα). Input: the GGA-PBE geometry in Alexandria.

Main lines, in order of rising 2θ (10° ≤ 2θ ≤ 90°):
2θ 14.07, intensity 73; 2θ 19.51, intensity 35; 2θ 23.77, intensity 76; 2θ 27.08, intensity 100; 2θ 28.36, intensity 44; 2θ 30.64, intensity 47; 2θ 38.67, intensity 38; 2θ 39.61, intensity 71; 2θ 45.90, intensity 25; 2θ 48.64, intensity 38

Structural model:
Unit cell a=6.586 b=6.586 c=6.294 alpha=90.00 beta=90.00 gamma=90.00
Positions (direct):
K: 0.000 0.000 0.000
Ba: 0.000 0.500 0.500
Ba: 0.500 0.000 0.500
Cd: 0.000 0.000 0.500
Co: 0.500 0.500 0.000

=====

# AgHg2SbS4
Simulated powder XRD pattern, λ = 1.5418 Å (Cu Kα). Input: the GGA-PBE geometry in Alexandria.

Main lines, in order of rising 2θ (10° ≤ 2θ ≤ 90°):
2θ 24.16, intensity 69; 2θ 26.11, intensity 77; 2θ 27.35, intensity 64; 2θ 27.81, intensity 100; 2θ 36.81, intensity 36; 2θ 40.17, intensity 54; 2θ 47.57, intensity 31; 2θ 48.63, intensity 37; 2θ 49.28, intensity 46; 2θ 51.56, intensity 24

Structural model:
Unit cell a=8.298 b=8.008 c=6.523 alpha=90.00 beta=90.00 gamma=90.00
Positions (direct):
Ag: 0.000 0.133 0.000
Ag: 0.500 0.867 0.500
Hg: 0.241 0.345 0.506
Hg: 0.259 0.655 0.006
Hg: 0.741 0.655 0.006
Hg: 0.759 0.345 0.506
Sb: 0.000 0.828 0.482
Sb: 0.500 0.172 0.982
S: 0.000 0.180 0.389
S: 0.000 0.828 0.872
S: 0.242 0.341 0.911
S: 0.258 0.659 0.411
S: 0.500 0.172 0.372
S: 0.500 0.820 0.889
S: 0.742 0.659 0.411
S: 0.758 0.341 0.911

=====

# BeSb2Pd6
Simulated powder XRD pattern, λ = 1.5418 Å (Cu Kα). Input: the GGA-PBE geometry in Alexandria.

Main lines, in order of rising 2θ (10° ≤ 2θ ≤ 90°):
2θ 36.61, intensity 100; 2θ 39.67, intensity 33; 2θ 39.78, intensity 45; 2θ 45.38, intensity 30; 2θ 47.90, intensity 22; 2θ 52.56, intensity 16; 2θ 67.89, intensity 18; 2θ 71.93, intensity 15; 2θ 74.12, intensity 14; 2θ 78.03, intensity 17

Structural model:
Unit cell a=6.923 b=6.923 c=3.482 alpha=90.00 beta=90.00 gamma=120.00
Positions (direct):
Be: 0.000 0.000 0.000
Sb: 0.333 0.667 0.500
Sb: 0.667 0.333 0.500
Pd: 0.000 0.378 0.000
Pd: 0.000 0.758 0.500
Pd: 0.242 0.242 0.500
Pd: 0.378 0.000 0.000
Pd: 0.622 0.622 0.000
Pd: 0.758 0.000 0.500

=====

# Tl12Hg2Au7
Simulated powder XRD pattern, λ = 1.5418 Å (Cu Kα). Input: the GGA-PBE geometry in Alexandria.

Main lines, in order of rising 2θ (10° ≤ 2θ ≤ 90°):
2θ 29.96, intensity 100; 2θ 30.19, intensity 19; 2θ 33.58, intensity 14; 2θ 35.49, intensity 28; 2θ 36.51, intensity 10; 2θ 36.70, intensity 10; 2θ 38.65, intensity 14; 2θ 40.76, intensity 24; 2θ 42.17, intensity 21; 2θ 67.58, intensity 12

Structural model:
Unit cell a=12.326 b=12.326 c=4.427 alpha=90.00 beta=90.00 gamma=120.00
Positions (direct):
Tl: 0.033 0.223 0.000
Tl: 0.147 0.688 0.500
Tl: 0.190 0.967 0.000
Tl: 0.312 0.459 0.500
Tl: 0.385 0.201 0.500
Tl: 0.541 0.853 0.500
Tl: 0.543 0.113 0.000
Tl: 0.570 0.457 0.000
Tl: 0.777 0.810 0.000
Tl: 0.799 0.184 0.500
Tl: 0.816 0.615 0.500
Tl: 0.887 0.430 0.000
Hg: 0.000 0.000 0.500
Hg: 0.333 0.667 0.000
Au: 0.053 0.412 0.500
Au: 0.291 0.282 0.000
Au: 0.358 0.947 0.500
Au: 0.588 0.642 0.500
Au: 0.667 0.333 0.500
Au: 0.718 0.009 0.000
Au: 0.991 0.709 0.000

=====

# Ho3ZnGe2
Simulated powder XRD pattern, λ = 1.5418 Å (Cu Kα). Input: the GGA-PBE geometry in Alexandria.

Main lines, in order of rising 2θ (10° ≤ 2θ ≤ 90°):
2θ 27.45, intensity 32; 2θ 28.16, intensity 35; 2θ 30.65, intensity 60; 2θ 31.61, intensity 89; 2θ 32.18, intensity 43; 2θ 32.35, intensity 35; 2θ 32.64, intensity 52; 2θ 35.45, intensity 100; 2θ 38.95, intensity 29; 2θ 42.96, intensity 56

Structural model:
Unit cell a=11.406 b=4.210 c=11.472 alpha=90.00 beta=90.00 gamma=90.00
Positions (direct):
Ho: 0.055 0.250 0.123
Ho: 0.129 0.750 0.565
Ho: 0.205 0.250 0.803
Ho: 0.295 0.750 0.303
Ho: 0.371 0.250 0.065
Ho: 0.445 0.750 0.623
Ho: 0.555 0.250 0.377
Ho: 0.629 0.750 0.935
Ho: 0.705 0.250 0.697
Ho: 0.795 0.750 0.197
Ho: 0.871 0.250 0.435
Ho: 0.945 0.750 0.877
Zn: 0.137 0.250 0.363
Zn: 0.363 0.750 0.863
Zn: 0.637 0.250 0.137
Zn: 0.863 0.750 0.637
Ge: 0.017 0.750 0.319
Ge: 0.184 0.750 0.001
Ge: 0.316 0.250 0.501
Ge: 0.483 0.250 0.819
Ge: 0.517 0.750 0.181
Ge: 0.684 0.750 0.499
Ge: 0.816 0.250 0.999
Ge: 0.983 0.250 0.681

=====

# MnSnSb
Simulated powder XRD pattern, λ = 1.5418 Å (Cu Kα). Input: the GGA-PBE geometry in Alexandria.

Main lines, in order of rising 2θ (10° ≤ 2θ ≤ 90°):
2θ 25.93, intensity 44; 2θ 29.39, intensity 100; 2θ 36.06, intensity 76; 2θ 39.56, intensity 82; 2θ 45.96, intensity 69; 2θ 47.91, intensity 34; 2θ 57.18, intensity 28; 2θ 69.49, intensity 22; 2θ 74.86, intensity 21; 2θ 76.29, intensity 31

Structural model:
Unit cell a=3.222 b=3.222 c=27.485 alpha=90.00 beta=90.00 gamma=90.00
Positions (direct):
Mn: 0.000 0.000 0.226
Mn: 0.000 0.000 0.774
Mn: 0.500 0.500 0.274
Mn: 0.500 0.500 0.726
Sn: 0.000 0.000 0.055
Sn: 0.000 0.000 0.945
Sn: 0.500 0.500 0.445
Sn: 0.500 0.500 0.555
Sb: 0.000 0.000 0.328
Sb: 0.000 0.000 0.672
Sb: 0.500 0.500 0.172
Sb: 0.500 0.500 0.828

=====

# SrLi3Au3
Simulated powder XRD pattern, λ = 1.5418 Å (Cu Kα). Input: the GGA-PBE geometry in Alexandria.

Main lines, in order of rising 2θ (10° ≤ 2θ ≤ 90°):
2θ 11.60, intensity 59; 2θ 23.31, intensity 20; 2θ 28.39, intensity 100; 2θ 31.01, intensity 27; 2θ 35.29, intensity 22; 2θ 37.06, intensity 74; 2θ 40.20, intensity 20; 2θ 47.50, intensity 24; 2θ 52.26, intensity 19; 2θ 67.92, intensity 18

Structural model:
Unit cell a=8.811 b=8.811 c=4.486 alpha=90.00 beta=90.00 gamma=120.00
Positions (direct):
Sr: 0.333 0.667 0.250
Sr: 0.667 0.333 0.750
Li: 0.014 0.770 0.750
Li: 0.230 0.244 0.750
Li: 0.244 0.014 0.250
Li: 0.756 0.986 0.750
Li: 0.770 0.756 0.250
Li: 0.986 0.230 0.250
Au: 0.050 0.419 0.750
Au: 0.369 0.950 0.750
Au: 0.419 0.369 0.250
Au: 0.581 0.631 0.750
Au: 0.631 0.050 0.250
Au: 0.950 0.581 0.250

=====

# Sm2ZrAs3
Simulated powder XRD pattern, λ = 1.5418 Å (Cu Kα). Input: the GGA-PBE geometry in Alexandria.

Main lines, in order of rising 2θ (10° ≤ 2θ ≤ 90°):
2θ 26.67, intensity 19; 2θ 30.81, intensity 100; 2θ 31.03, intensity 48; 2θ 44.14, intensity 37; 2θ 44.30, intensity 72; 2θ 54.93, intensity 38; 2θ 72.89, intensity 16; 2θ 73.01, intensity 16; 2θ 73.36, intensity 15; 2θ 81.31, intensity 24

Structural model:
Unit cell a=4.104 b=4.104 c=17.291 alpha=90.00 beta=90.00 gamma=90.00
Positions (direct):
Sm: 0.000 0.000 0.167
Sm: 0.000 0.000 0.833
Sm: 0.500 0.500 0.333
Sm: 0.500 0.500 0.667
Zr: 0.000 0.000 0.500
Zr: 0.500 0.500 0.000
As: 0.000 0.000 0.000
As: 0.000 0.000 0.340
As: 0.000 0.000 0.660
As: 0.500 0.500 0.160
As: 0.500 0.500 0.500
As: 0.500 0.500 0.840